[1]
This entry pairs a crystal structure of Li5B8C8 with its computed X-ray diffraction stick pattern. Radiation: λ = 1.5418 Å (Cu Kα). Structure: a structure optimized by DFT (PBE).
Neutral-atom scattering factors, no anomalous dispersion.

Top 10 peaks for 15° ≤ 2θ ≤ 90°, in order of rising 2θ:
d_spacing, 2theta, I/Imax
3.596, 24.76, 100.0
2.356, 38.20, 5.9
2.335, 38.55, 3.8
1.979, 45.86, 22.1
1.961, 46.29, 14.4
1.941, 46.80, 7.3
1.798, 50.78, 14.9
1.364, 68.83, 5.1
1.352, 69.51, 9.9
1.275, 74.38, 3.3

Structural model:
```
data_Li5B8C8
_chemical_formula_sum 'Li10 B16 C16'
_cell_length_a 9.3438
_cell_length_b 5.4561
_cell_length_c 7.1936
_cell_angle_alpha 90.00
_cell_angle_beta 91.15
_cell_angle_gamma 90.00
_symmetry_space_group_name_H-M 'C 1 2/m 1'
_symmetry_Int_Tables_number 12
loop_
_symmetry_equiv_pos_as_xyz
'x,y,z'
'-x,-y,-z'
'-x,y,-z'
'x,-y,z'
'x+1/2,y+1/2,z'
'-x+1/2,-y+1/2,-z'
'-x+1/2,y+1/2,-z'
'x+1/2,-y+1/2,z'
loop_
_atom_site_label
_atom_site_fract_x
_atom_site_fract_y
_atom_site_fract_z
Li1 0.0000 0.0000 0.0000
Li2 0.2500 0.2500 0.0000
Li3 0.2500 0.2500 0.5000
B1 0.0808 0.2512 0.7452
B2 0.1651 0.5000 0.2400
B3 0.1667 0.0000 0.2475
C1 0.0868 0.2497 0.2412
C2 0.1635 0.5000 0.7428
C3 0.1637 0.0000 0.7517
```

***

[2]
This entry pairs a crystal structure of LiB4C4 with its computed X-ray diffraction stick pattern. Radiation: λ = 1.5418 Å (Cu Kα). Structure: a structure optimized by DFT (PBE).
Neutral-atom scattering factors, no anomalous dispersion.

Top 10 peaks for 15° ≤ 2θ ≤ 90°, in order of rising 2θ:
d_spacing, 2theta, I/Imax
3.662, 24.31, 100.0
2.341, 38.45, 3.8
2.317, 38.87, 8.5
1.973, 46.01, 7.1
1.962, 46.26, 7.9
1.953, 46.49, 7.6
1.831, 49.80, 9.4
1.347, 69.82, 5.4
1.333, 70.66, 3.0
1.266, 75.06, 3.2

Structural model:
```
data_LiB4C4
_chemical_formula_sum 'Li2 B8 C8'
_cell_length_a 5.3322
_cell_length_b 4.6829
_cell_length_c 7.7787
_cell_angle_alpha 90.00
_cell_angle_beta 109.70
_cell_angle_gamma 90.00
_symmetry_space_group_name_H-M 'P 1 21/c 1'
_symmetry_Int_Tables_number 14
loop_
_symmetry_equiv_pos_as_xyz
'x,y,z'
'-x,-y,-z'
'-x,y+1/2,-z+1/2'
'x,-y+1/2,z+1/2'
loop_
_atom_site_label
_atom_site_fract_x
_atom_site_fract_y
_atom_site_fract_z
Li1 0.0000 0.0000 0.0000
B1 0.1203 0.1434 0.7383
B2 0.3824 0.6448 0.7631
C1 0.1299 0.6827 0.2601
C2 0.3688 0.1801 0.2369
```

***

[3]
This entry pairs a crystal structure of Li5B8C8 with its computed X-ray diffraction stick pattern. Radiation: λ = 1.5418 Å (Cu Kα). Structure: a structure optimized by DFT (PBE).
Neutral-atom scattering factors, no anomalous dispersion.

Top 10 peaks for 15° ≤ 2θ ≤ 90°, in order of rising 2θ:
d_spacing, 2theta, I/Imax
3.613, 24.64, 100.0
2.354, 38.23, 5.8
2.344, 38.41, 3.7
1.977, 45.91, 21.5
1.967, 46.14, 14.3
1.957, 46.41, 7.3
1.806, 50.53, 15.3
1.361, 69.00, 5.0
1.355, 69.35, 9.7
1.273, 74.53, 6.3

Structural model:
```
data_Li5B8C8
_chemical_formula_sum 'Li5 B8 C8'
_cell_length_a 4.6874
_cell_length_b 5.4442
_cell_length_c 7.2260
_cell_angle_alpha 90.00
_cell_angle_beta 90.62
_cell_angle_gamma 90.00
_symmetry_space_group_name_H-M 'P 1 2/m 1'
_symmetry_Int_Tables_number 10
loop_
_symmetry_equiv_pos_as_xyz
'x,y,z'
'-x,-y,-z'
'-x,y,-z'
'x,-y,z'
loop_
_atom_site_label
_atom_site_fract_x
_atom_site_fract_y
_atom_site_fract_z
Li1 0.0000 0.0000 0.0000
Li2 0.0000 0.0000 0.5000
Li3 0.0000 0.5000 0.0000
Li4 0.5000 0.2575 0.5000
B1 0.1613 0.2515 0.2570
B2 0.3394 0.5000 0.7553
B3 0.3415 0.0000 0.7548
C1 0.1759 0.2494 0.7530
C2 0.3222 0.0000 0.2619
C3 0.3254 0.5000 0.2561
```

***

[4]
This entry pairs a crystal structure of LiB4C4 with its computed X-ray diffraction stick pattern. Radiation: λ = 1.5418 Å (Cu Kα). Structure: a structure optimized by DFT (PBE).
Neutral-atom scattering factors, no anomalous dispersion.

Top 10 peaks for 15° ≤ 2θ ≤ 90°, in order of rising 2θ:
d_spacing, 2theta, I/Imax
3.417, 26.08, 55.1
3.324, 26.82, 100.0
2.901, 30.83, 34.1
2.292, 39.32, 38.5
2.216, 40.71, 28.9
2.110, 42.86, 27.4
1.999, 45.36, 13.5
1.969, 46.09, 22.1
1.341, 70.17, 13.2
1.302, 72.63, 19.5

Structural model:
```
data_LiB4C4
_chemical_formula_sum 'Li1 B4 C4'
_cell_length_a 4.4722
_cell_length_b 2.6826
_cell_length_c 6.7461
_cell_angle_alpha 90.00
_cell_angle_beta 99.74
_cell_angle_gamma 90.00
_symmetry_space_group_name_H-M 'P 1 2/m 1'
_symmetry_Int_Tables_number 10
loop_
_symmetry_equiv_pos_as_xyz
'x,y,z'
'-x,-y,-z'
'-x,y,-z'
'x,-y,z'
loop_
_atom_site_label
_atom_site_fract_x
_atom_site_fract_y
_atom_site_fract_z
Li1 0.0000 0.0000 0.0000
B1 0.2391 0.5000 0.3268
B2 0.2578 0.0000 0.7175
C1 0.1001 0.5000 0.7494
C2 0.4398 0.0000 0.3824
```

***

[5]
This entry pairs a crystal structure of LiB2C2 with its computed X-ray diffraction stick pattern. Radiation: λ = 1.5418 Å (Cu Kα). Structure: a structure optimized by DFT (PBE).
Neutral-atom scattering factors, no anomalous dispersion.

Top 10 peaks for 15° ≤ 2θ ≤ 90°, in order of rising 2θ:
d_spacing, 2theta, I/Imax
3.657, 24.34, 100.0
2.349, 38.32, 3.6
2.339, 38.49, 6.8
1.977, 45.91, 23.2
1.964, 46.23, 11.2
1.829, 49.87, 13.2
1.354, 69.41, 8.0
1.349, 69.73, 3.8
1.268, 74.86, 4.9
1.090, 89.98, 4.1

Structural model:
```
data_LiB2C2
_chemical_formula_sum 'Li4 B8 C8'
_cell_length_a 5.3944
_cell_length_b 4.6973
_cell_length_c 7.7747
_cell_angle_alpha 90.00
_cell_angle_beta 109.81
_cell_angle_gamma 90.00
_symmetry_space_group_name_H-M 'P 1 2/c 1'
_symmetry_Int_Tables_number 13
loop_
_symmetry_equiv_pos_as_xyz
'x,y,z'
'-x,-y,-z'
'-x,y,-z+1/2'
'x,-y,z+1/2'
loop_
_atom_site_label
_atom_site_fract_x
_atom_site_fract_y
_atom_site_fract_z
Li1 0.1458 0.2488 0.4985
B1 0.0000 0.0845 0.7500
B2 0.2515 0.4174 0.2475
B3 0.5000 0.0794 0.7500
C1 0.0000 0.4210 0.7500
C2 0.2456 0.0828 0.2434
C3 0.5000 0.4137 0.7500
```

***

[6]
This entry pairs a crystal structure of LiB2C2 with its computed X-ray diffraction stick pattern. Radiation: λ = 1.5418 Å (Cu Kα). Structure: a structure optimized by DFT (PBE).
Neutral-atom scattering factors, no anomalous dispersion.

Top 10 peaks for 15° ≤ 2θ ≤ 90°, in order of rising 2θ:
d_spacing, 2theta, I/Imax
3.623, 24.57, 100.0
2.335, 38.55, 7.6
1.986, 45.69, 5.9
1.968, 46.13, 16.5
1.959, 46.36, 12.6
1.812, 50.37, 12.8
1.357, 69.21, 8.1
1.344, 70.01, 4.2
1.275, 74.43, 3.5
1.091, 89.95, 4.0

Structural model:
```
data_LiB2C2
_chemical_formula_sum 'Li8 B16 C16'
_cell_length_a 15.1985
_cell_length_b 2.6877
_cell_length_c 9.4370
_cell_angle_alpha 90.00
_cell_angle_beta 107.53
_cell_angle_gamma 90.00
_symmetry_space_group_name_H-M 'C 1 m 1'
_symmetry_Int_Tables_number 8
loop_
_symmetry_equiv_pos_as_xyz
'x,y,z'
'x,-y,z'
'x+1/2,y+1/2,z'
'x+1/2,-y+1/2,z'
loop_
_atom_site_label
_atom_site_fract_x
_atom_site_fract_y
_atom_site_fract_z
Li1 0.0000 0.0000 0.0000
Li2 0.0001 0.5000 0.2702
Li3 0.0031 0.0000 0.5418
Li4 0.2509 0.0000 0.1522
B1 0.1218 0.5000 0.1619
B2 0.1230 0.0000 0.4121
B3 0.1318 0.0000 0.9141
B4 0.1324 0.5000 0.6663
B5 0.3679 0.0000 0.8754
B6 0.3738 0.5000 0.6299
B7 0.3773 0.0000 0.3816
B8 0.3786 0.5000 0.1290
C1 0.1183 0.0000 0.2453
C2 0.1209 0.5000 0.4969
C3 0.1287 0.5000 0.0006
C4 0.1329 0.0000 0.7513
C5 0.3693 0.5000 0.7912
C6 0.3781 0.0000 0.0439
C7 0.3789 0.0000 0.5463
C8 0.3789 0.5000 0.2945
```